The following is a computed powder diffraction line list of Li3La. It was derived from a cell relaxed with GGA-PBE, using Cu Kα.
Neutral-atom scattering factors, no anomalous dispersion.

Main lines, low angle first (10° ≤ 2θ ≤ 90°):
d = 7.737 Å, rel. 51, hkl 0 0 2
d = 3.475 Å, rel. 36, hkl 1 0 1
d = 3.239 Å, rel. 94, hkl 1 0 2
d = 2.934 Å, rel. 100, hkl 1 0 3
d = 2.622 Å, rel. 62, hkl 1 0 4
d = 2.522 Å, rel. 40, hkl 1 1 0
d = 2.489 Å, rel. 41, hkl 1 1 1
d = 1.955 Å, rel. 24, hkl 1 1 5
d = 1.803 Å, rel. 24, hkl 1 1 6
d = 1.524 Å, rel. 28, hkl 2 1 3

a = 3.566 Å, b = 3.566 Å, c = 15.475 Å
α = 90.00°, β = 90.00°, γ = 90.00°
Fractional coordinates of all 8 atoms:
Li 0.250 0.250 0.052
Li 0.250 0.250 0.260
Li 0.250 0.250 0.840
Li 0.750 0.750 0.160
Li 0.750 0.750 0.740
Li 0.750 0.750 0.948
La 0.250 0.250 0.584
La 0.750 0.750 0.416



The following is a computed powder diffraction line list of CuHS4. It was derived from a cell relaxed with GGA-PBE, using Cu Kα.
Neutral-atom scattering factors, no anomalous dispersion.

Main lines, low angle first (10° ≤ 2θ ≤ 90°):
d = 5.080 Å, rel. 100, hkl 0 0 2
d = 3.781 Å, rel. 12, hkl 1 0 -1
d = 3.219 Å, rel. 58, hkl 0 2 -1
d = 3.079 Å, rel. 25, hkl 0 2 1
d = 2.874 Å, rel. 19, hkl 0 2 -2
d = 2.860 Å, rel. 10, hkl -1 1 2
d = 2.462 Å, rel. 13, hkl 0 2 -3
d = 2.430 Å, rel. 10, hkl -1 1 3
d = 1.941 Å, rel. 11, hkl 1 1 4
d = 1.657 Å, rel. 11, hkl -1 3 3

a = 3.968 Å, b = 6.638 Å, c = 10.215 Å
α = 94.31°, β = 94.11°, γ = 90.06°
Fractional coordinates of all 12 atoms:
Cu 0.000 0.000 0.000
Cu 0.500 0.500 0.000
H 0.075 0.722 0.486
H 0.925 0.278 0.514
S 0.017 0.585 0.095
S 0.339 0.305 0.396
S 0.396 0.717 0.436
S 0.483 0.919 0.903
S 0.517 0.081 0.097
S 0.604 0.283 0.564
S 0.661 0.695 0.604
S 0.983 0.415 0.905



The following is a computed powder diffraction line list of NdIn4Au4. It was derived from a cell relaxed with GGA-PBE, using Cu Kα.
Neutral-atom scattering factors, no anomalous dispersion.

Main lines, low angle first (10° ≤ 2θ ≤ 90°):
d = 3.196 Å, rel. 52, hkl 2 0 1
d = 2.894 Å, rel. 100, hkl 2 1 1
d = 2.799 Å, rel. 46, hkl 1 0 3
d = 2.410 Å, rel. 69, hkl 2 2 0
d = 2.281 Å, rel. 78, hkl 2 0 3
d = 2.181 Å, rel. 32, hkl 1 0 4
d = 2.135 Å, rel. 35, hkl 2 2 2
d = 1.826 Å, rel. 34, hkl 3 0 3
d = 1.704 Å, rel. 35, hkl 4 0 0
d = 1.461 Å, rel. 27, hkl 3 2 4

a = 6.816 Å, b = 6.816 Å, c = 9.208 Å
α = 90.00°, β = 90.00°, γ = 90.00°
Fractional coordinates of all 18 atoms:
Nd 0.250 0.750 0.250
Nd 0.750 0.250 0.750
In 0.021 0.250 0.144
In 0.250 0.021 0.644
In 0.250 0.479 0.644
In 0.479 0.250 0.144
In 0.521 0.750 0.856
In 0.750 0.521 0.356
In 0.750 0.979 0.356
In 0.979 0.750 0.856
Au 0.030 0.250 0.448
Au 0.250 0.030 0.948
Au 0.250 0.470 0.948
Au 0.470 0.250 0.448
Au 0.530 0.750 0.552
Au 0.750 0.530 0.052
Au 0.750 0.970 0.052
Au 0.970 0.750 0.552